1.
Computed powder diffractogram of BaSn2H2O4 for Cu Ka, from a DFT-relaxed cell (GGA-PBE, the Materials Project).

Most intense lines, 5° ≤ 2θ ≤ 70°, low angle first:
d/Å, 2θ (°), I_rel
3.740, 23.79, 30
3.521, 25.29, 71
3.158, 28.26, 100
2.992, 29.86, 84
2.947, 30.33, 58
2.878, 31.07, 33
2.059, 43.97, 36
1.740, 52.61, 33

Structure:
a = 7.309 Å, b = 5.894 Å, c = 7.665 Å
α = 90.00°, β = 108.13°, γ = 90.00°
Element x y z (fractional)
Ba 0.189 0.000 0.432
Ba 0.811 0.500 0.568
Sn 0.088 0.009 0.889
Sn 0.348 0.510 0.854
Sn 0.652 0.010 0.146
Sn 0.912 0.509 0.111
H 0.291 0.508 0.213
H 0.367 0.512 0.520
H 0.633 0.012 0.480
H 0.709 0.008 0.787
O 0.141 0.756 0.723
O 0.150 0.257 0.721
O 0.207 0.515 0.291
O 0.470 0.526 0.640
O 0.530 0.026 0.360
O 0.793 0.015 0.709
O 0.850 0.757 0.279
O 0.859 0.256 0.277

=====

2.
Computed powder diffractogram of BaSnH6O6 for Cu Ka, from a DFT-relaxed cell (GGA-PBE, the Materials Project).

Most intense lines, 5° ≤ 2θ ≤ 70°, low angle first:
d/Å, 2θ (°), I_rel
4.375, 20.30, 63
4.072, 21.83, 100
3.238, 27.54, 32
3.217, 27.73, 64
2.789, 32.09, 26
2.603, 34.46, 31
2.052, 44.13, 26
1.996, 45.44, 21

Structure:
a = 9.499 Å, b = 6.477 Å, c = 11.175 Å
α = 90.00°, β = 118.61°, γ = 90.00°
Element x y z (fractional)
Ba 0.178 0.006 0.218
Ba 0.178 0.494 0.718
Ba 0.822 0.506 0.282
Ba 0.822 0.994 0.782
Sn 0.000 0.000 0.500
Sn 0.000 0.500 0.000
Sn 0.500 0.000 0.000
Sn 0.500 0.500 0.500
H 0.130 0.514 0.264
H 0.130 0.986 0.764
H 0.184 0.728 0.468
H 0.184 0.772 0.968
H 0.262 0.220 0.964
H 0.262 0.280 0.464
H 0.309 0.070 0.657
H 0.309 0.430 0.157
H 0.418 0.629 0.031
H 0.418 0.871 0.531
H 0.486 0.166 0.201
H 0.486 0.334 0.701
H 0.514 0.666 0.299
H 0.514 0.834 0.799
H 0.582 0.129 0.469
H 0.582 0.371 0.969
H 0.691 0.570 0.843
H 0.691 0.930 0.343
H 0.738 0.720 0.536
H 0.738 0.780 0.036
H 0.816 0.228 0.032
H 0.816 0.272 0.532
H 0.870 0.014 0.236
H 0.870 0.486 0.736
O 0.040 0.597 0.193
O 0.040 0.903 0.693
O 0.090 0.711 0.484
O 0.090 0.789 0.984
O 0.222 0.149 0.582
O 0.222 0.351 0.082
O 0.288 0.160 0.894
O 0.288 0.340 0.394
O 0.367 0.720 0.952
O 0.367 0.780 0.452
O 0.495 0.017 0.189
O 0.495 0.483 0.689
O 0.505 0.517 0.311
O 0.505 0.983 0.811
O 0.633 0.220 0.548
O 0.633 0.280 0.048
O 0.712 0.660 0.606
O 0.712 0.840 0.106
O 0.778 0.649 0.918
O 0.778 0.851 0.418
O 0.910 0.211 0.016
O 0.910 0.289 0.516
O 0.960 0.097 0.307
O 0.960 0.403 0.807

=====

3.
Computed powder diffractogram of Ba2TlH7O7 for Cu Ka, from a DFT-relaxed cell (GGA-PBE, the Materials Project).

Most intense lines, 5° ≤ 2θ ≤ 70°, low angle first:
d/Å, 2θ (°), I_rel
5.955, 14.88, 44
5.236, 16.93, 78
3.680, 24.19, 72
3.370, 26.45, 100
3.309, 26.94, 34
3.105, 28.75, 88
2.461, 36.51, 46
2.131, 42.43, 51

Structure:
a = 6.873 Å, b = 6.873 Å, c = 10.660 Å
α = 97.61°, β = 97.61°, γ = 57.56°
Element x y z (fractional)
Ba 0.069 0.692 0.871
Ba 0.308 0.931 0.629
Ba 0.692 0.069 0.371
Ba 0.931 0.308 0.129
Tl 0.000 0.500 0.500
Tl 0.500 0.000 0.000
H 0.071 0.186 0.852
H 0.182 0.532 0.295
H 0.186 0.071 0.352
H 0.370 0.630 0.250
H 0.379 0.408 0.118
H 0.408 0.379 0.618
H 0.468 0.818 0.205
H 0.532 0.182 0.795
H 0.592 0.621 0.382
H 0.621 0.592 0.882
H 0.630 0.370 0.750
H 0.814 0.929 0.648
H 0.818 0.468 0.705
H 0.929 0.814 0.148
O 0.017 0.602 0.303
O 0.045 0.147 0.398
O 0.147 0.045 0.898
O 0.288 0.377 0.045
O 0.377 0.288 0.545
O 0.398 0.983 0.197
O 0.483 0.517 0.750
O 0.517 0.483 0.250
O 0.602 0.017 0.803
O 0.623 0.712 0.455
O 0.712 0.623 0.955
O 0.853 0.955 0.102
O 0.955 0.853 0.602
O 0.983 0.398 0.697